Record 1
Er2MgSe4: calculated powder XRD pattern (CuKα), based on a crystal structure in the Materials Project, relaxed with GGA-PBE.

Largest 12 diffraction maxima, low angle first, 10° ≤ 2θ ≤ 90°:
- 14.39 deg, I 36.5, hkl 1 0 1
- 20.74 deg, I 27.9, hkl 2 0 0
- 24.92 deg, I 34.6, hkl 1 1 2
- 25.33 deg, I 25.5, hkl 2 1 1
- 32.08 deg, I 56.8, hkl 1 0 3
- 32.96 deg, I 56.8, hkl 3 0 1
- 33.07 deg, I 100.0, hkl 3 1 0
- 38.51 deg, I 79.2, hkl 2 1 3
- 39.27 deg, I 44.4, hkl 3 2 1
- 49.24 deg, I 29.7, hkl 3 2 3
- 53.46 deg, I 24.1, hkl 3 1 4
- 67.12 deg, I 23.9, hkl 5 3 2

Unit cell a=8.566 b=8.566 c=8.853 alpha=90.00 beta=90.00 gamma=90.00
Space group I-42d (No. 122)
Inequivalent atoms, fractional coordinates:
Er 0.132 0.250 0.125 (multiplicity 8)
Mg 0.000 0.000 0.500 (multiplicity 4)
Se 0.065 0.194 0.814 (multiplicity 16)

=====

Record 2
Sm2Cu3Sn3: calculated powder XRD pattern (CuKα), based on a crystal structure in the Materials Project, relaxed with GGA-PBE.

Largest 12 diffraction maxima, low angle first, 10° ≤ 2θ ≤ 90°:
- 27.78 deg, I 100.0, hkl 0 1 0
- 31.12 deg, I 74.7, hkl 1 0 0
- 31.92 deg, I 60.4, hkl 0 0 8
- 42.20 deg, I 65.2, hkl 1 1 0
- 42.71 deg, I 27.1, hkl 0 1 8
- 42.92 deg, I 27.1, hkl 0 1 -8
- 45.11 deg, I 23.2, hkl 1 0 8
- 45.25 deg, I 23.5, hkl 1 0 -8
- 53.71 deg, I 13.8, hkl 1 1 8
- 53.89 deg, I 27.4, hkl 1 -1 8
- 54.00 deg, I 13.6, hkl 1 1 -8
- 66.73 deg, I 22.7, hkl 1 2 0

Unit cell a=2.874 b=3.212 c=22.430 alpha=89.74 beta=89.83 gamma=89.95
Space group P-1 (No. 2)
Inequivalent atoms, fractional coordinates:
Sm 0.000 0.000 0.245 (multiplicity 2)
Cu 0.000 0.000 0.118 (multiplicity 2)
Cu 0.000 0.000 0.500 (multiplicity 1)
Sn 0.000 0.000 0.000 (multiplicity 1)
Sn 0.000 0.000 0.387 (multiplicity 2)

=====

Record 3
Tm3Cu11Si4: calculated powder XRD pattern (CuKα), based on a crystal structure in the Materials Project, relaxed with GGA-PBE.

Largest 12 diffraction maxima, low angle first, 10° ≤ 2θ ≤ 90°:
- 20.87 deg, I 19.0, hkl 0 0 2
- 24.68 deg, I 27.4, hkl 2 0 0
- 26.84 deg, I 24.9, hkl 2 0 1
- 38.91 deg, I 75.3, hkl 3 0 1
- 39.24 deg, I 54.3, hkl 2 1 2
- 40.45 deg, I 100.0, hkl 2 0 3
- 43.21 deg, I 17.4, hkl 3 0 2
- 43.44 deg, I 58.7, hkl 2 2 0
- 46.17 deg, I 20.2, hkl 2 1 3
- 67.41 deg, I 18.1, hkl 3 0 5
- 68.68 deg, I 19.0, hkl 5 0 2
- 72.32 deg, I 16.0, hkl 3 2 4

Unit cell a=8.3319 b=8.3319 c=8.5110 alpha=90.00 beta=90.00 gamma=120.00
Space group P6_3/mmc (No. 194)
Inequivalent atoms, fractional coordinates:
Tm 0.1984 0.3968 0.2500 (multiplicity 6)
Cu 0.1298 0.5649 0.7500 (multiplicity 6)
Cu 0.1519 0.3038 0.5901 (multiplicity 12)
Cu 0.3333 0.6667 0.5049 (multiplicity 4)
Si 0.0000 0.0000 0.2500 (multiplicity 2)
Si 0.0000 0.5000 0.0000 (multiplicity 6)

=====

Record 4
Ba2TlCd: calculated powder XRD pattern (CuKα), based on a crystal structure in the Materials Project, relaxed with GGA-PBE.

Largest 12 diffraction maxima, low angle first, 10° ≤ 2θ ≤ 90°:
- 17.92 deg, I 4.4, hkl 1 1 1
- 29.47 deg, I 100.0, hkl 2 2 0
- 34.71 deg, I 2.8, hkl 3 1 1
- 42.17 deg, I 18.8, hkl 4 0 0
- 46.16 deg, I 1.3, hkl 3 3 1
- 52.28 deg, I 40.1, hkl 4 2 2
- 55.72 deg, I 1.1, hkl 5 1 1
- 61.16 deg, I 12.5, hkl 4 4 0
- 64.29 deg, I 1.1, hkl 5 3 1
- 69.33 deg, I 17.2, hkl 6 2 0
- 77.08 deg, I 4.3, hkl 4 4 4
- 84.60 deg, I 20.6, hkl 6 4 2

Unit cell a=8.572 b=8.572 c=8.572 alpha=90.00 beta=90.00 gamma=90.00
Space group Fm-3m (No. 225)
Inequivalent atoms, fractional coordinates:
Ba 0.250 0.250 0.250 (multiplicity 8)
Tl 0.000 0.000 0.000 (multiplicity 4)
Cd 0.000 0.000 0.500 (multiplicity 4)

=====

Record 5
Tm4CdS7: calculated powder XRD pattern (CuKα), based on a crystal structure in the Materials Project, relaxed with GGA-PBE.

Largest 12 diffraction maxima, low angle first, 10° ≤ 2θ ≤ 90°:
- 24.32 deg, I 100.0, hkl 2 0 2
- 24.73 deg, I 92.2, hkl 2 0 -3
- 26.50 deg, I 36.2, hkl 1 1 1
- 28.35 deg, I 75.6, hkl 4 0 -1
- 31.89 deg, I 49.8, hkl 3 1 -1
- 32.31 deg, I 34.3, hkl 3 1 0
- 33.53 deg, I 54.9, hkl 3 1 -2
- 34.73 deg, I 48.3, hkl 3 1 1
- 39.40 deg, I 29.1, hkl 1 1 -4
- 42.55 deg, I 36.7, hkl 1 1 4
- 44.18 deg, I 28.5, hkl 5 1 0
- 48.04 deg, I 32.2, hkl 0 2 0

Unit cell a=12.608 b=3.788 c=11.485 alpha=90.00 beta=104.91 gamma=90.00
Space group Cm (No. 8)
Inequivalent atoms, fractional coordinates:
Tm 0.000 0.000 0.000 (multiplicity 2)
Tm 0.079 0.500 0.374 (multiplicity 2)
Tm 0.194 0.500 0.804 (multiplicity 2)
Tm 0.387 0.000 0.607 (multiplicity 2)
Cd 0.309 0.500 0.222 (multiplicity 2)
S 0.035 0.000 0.750 (multiplicity 2)
S 0.154 0.500 0.018 (multiplicity 2)
S 0.193 0.000 0.305 (multiplicity 2)
S 0.234 0.500 0.587 (multiplicity 2)
S 0.353 0.000 0.851 (multiplicity 2)
S 0.438 0.000 0.153 (multiplicity 2)
S 0.454 0.500 0.450 (multiplicity 2)

=====

Record 6
HoPd2: calculated powder XRD pattern (CuKα), based on a crystal structure in the Materials Project, relaxed with GGA-PBE.

Largest 12 diffraction maxima, low angle first, 10° ≤ 2θ ≤ 90°:
- 24.90 deg, I 58.3, hkl 1 0 1
- 38.70 deg, I 100.0, hkl 1 1 2
- 39.44 deg, I 17.5, hkl 1 0 3
- 43.07 deg, I 18.5, hkl 0 0 4
- 45.92 deg, I 30.6, hkl 2 0 0
- 52.94 deg, I 15.0, hkl 2 1 1
- 62.10 deg, I 9.3, hkl 2 1 3
- 64.78 deg, I 21.7, hkl 2 0 4
- 66.97 deg, I 9.8, hkl 2 2 0
- 76.03 deg, I 13.6, hkl 1 1 6
- 80.12 deg, I 23.7, hkl 3 1 2
- 83.01 deg, I 10.9, hkl 2 2 4

Unit cell a=3.952 b=3.952 c=8.401 alpha=90.00 beta=90.00 gamma=90.00
Space group I4/mmm (No. 139)
Inequivalent atoms, fractional coordinates:
Ho 0.000 0.000 0.000 (multiplicity 2)
Pd 0.000 0.500 0.250 (multiplicity 4)